(1)
Diffraction record for Li12TlPd6. The powder diffractogram is simulated, not measured: it uses a DFT-relaxed cell (PBE, Alexandria) and Cu Kα, 1.54184 Å.

Crystal structure
```
Li12TlPd6
1.0
6.016 3.473 2.269
-6.016 3.473 2.269
0.000 -6.947 2.269
Li Tl Pd
12 1 6
Cartesian
-0.949 -1.460 1.077
-0.790 1.552 1.077
-2.700 -1.081 3.494
1.739 -0.092 1.077
-0.414 -2.879 3.313
-2.286 1.798 3.313
2.286 -1.798 3.494
0.414 2.879 3.494
-1.739 0.092 5.731
2.700 1.081 3.313
0.790 -1.552 5.731
0.949 1.460 5.731
0.000 0.000 3.404
-2.938 -3.770 3.280
-4.733 0.659 3.528
1.796 -4.429 3.528
-1.796 4.429 3.280
4.733 -0.659 3.280
2.938 3.770 3.528
```

Top 10 peaks for 2θ = 10–90°, low angle first:
2θ (°)  I (rel.)
21.48  97
25.65  63
26.14  100
31.39  43
34.84  41
39.68  64
39.97  90
46.42  57
47.88  22
57.37  22



(2)
Diffraction record for HoHf2Pd9. The powder diffractogram is simulated, not measured: it uses a DFT-relaxed cell (PBE, Alexandria) and Cu Kα, 1.54184 Å.

Crystal structure
```
HoHf2Pd9
1.0
4.042 0.000 0.000
0.000 4.042 0.000
0.000 0.000 12.141
Ho Hf Pd
1 2 9
Cartesian
0.000 0.000 0.000
0.000 0.000 4.046
0.000 0.000 8.095
0.000 2.021 2.123
0.000 2.021 6.071
0.000 2.021 10.019
2.021 0.000 2.123
2.021 0.000 6.071
2.021 0.000 10.019
2.021 2.021 0.000
2.021 2.021 4.095
2.021 2.021 8.046
```

Top 10 peaks for 2θ = 10–90°, low angle first:
2θ (°)  I (rel.)
21.98  5
31.28  4
38.57  100
44.83  49
50.47  2
55.68  2
65.27  31
69.77  1
78.45  36
82.67  11



(3)
Diffraction record for Sc2Te5O13. The powder diffractogram is simulated, not measured: it uses a DFT-relaxed cell (PBE, Alexandria) and Cu Kα, 1.54184 Å.

Crystal structure
```
Sc2Te5O13
1.0
6.688 0.000 0.000
2.395 8.373 0.000
0.629 0.486 10.633
Sc Te O
4 10 26
Cartesian
0.856 2.290 2.638
5.765 8.377 8.598
3.947 0.482 2.035
8.856 6.569 7.995
3.099 7.291 1.064
2.215 2.784 6.861
4.220 7.753 5.142
3.465 3.653 10.430
4.248 3.569 3.169
5.463 5.290 7.464
6.246 5.206 0.203
5.491 1.106 5.491
7.496 6.075 3.772
6.613 1.568 9.569
2.557 7.427 6.042
1.148 2.794 0.608
2.501 6.581 2.969
2.239 4.618 7.411
1.522 0.447 9.696
1.718 0.245 1.981
4.256 6.531 8.248
2.916 2.208 3.069
2.666 0.362 6.562
3.349 2.170 8.270
3.653 4.196 1.254
4.990 6.006 5.543
3.676 1.498 0.217
6.036 7.360 10.416
4.722 2.853 5.090
6.059 4.663 9.378
6.362 6.689 2.363
7.045 8.496 4.071
6.795 6.651 7.564
5.455 2.328 2.385
7.994 8.614 8.652
8.189 8.412 0.937
7.473 4.240 3.222
7.210 2.278 7.664
8.564 6.065 10.025
7.155 1.431 4.591
```

Top 10 peaks for 2θ = 10–90°, low angle first:
2θ (°)  I (rel.)
26.72  99
27.78  84
28.44  91
28.71  100
31.91  61
32.16  41
32.99  34
44.18  23
46.05  25
47.61  37



(4)
Diffraction record for MgTl2Hg2. The powder diffractogram is simulated, not measured: it uses a DFT-relaxed cell (PBE, Alexandria) and Cu Kα, 1.54184 Å.

Crystal structure
```
MgTl2Hg2
1.0
7.638 0.000 0.000
0.000 7.638 0.000
0.000 0.000 4.794
Mg Tl Hg
2 4 4
Cartesian
0.000 0.000 0.000
3.819 3.819 0.000
1.275 2.544 2.397
2.544 6.363 2.397
5.094 1.275 2.397
6.363 5.094 2.397
1.099 4.918 0.000
2.720 1.099 0.000
4.918 6.539 0.000
6.539 2.720 0.000
```

Top 10 peaks for 2θ = 10–90°, low angle first:
2θ (°)  I (rel.)
16.41  17
23.29  11
32.18  100
37.23  19
37.52  16
50.71  10
52.99  14
53.89  13
64.36  14
69.06  15



(5)
Diffraction record for K3Hg9Pb2. The powder diffractogram is simulated, not measured: it uses a DFT-relaxed cell (PBE, Alexandria) and Cu Kα, 1.54184 Å.

Crystal structure
```
K3Hg9Pb2
1.0
-2.696 5.076 7.947
2.696 -5.076 7.947
2.696 5.076 -7.947
K Hg Pb
3 9 2
Cartesian
0.000 0.000 0.000
0.000 0.000 4.521
0.000 0.000 11.374
2.696 -1.501 2.600
2.696 -2.074 5.645
2.696 1.501 2.600
0.000 3.002 2.302
0.000 5.076 0.000
2.696 2.074 5.645
0.000 3.575 5.348
0.000 7.150 2.302
0.000 6.576 5.348
2.696 3.312 0.000
0.000 1.764 7.947
```

Top 10 peaks for 2θ = 10–90°, low angle first:
2θ (°)  I (rel.)
10.34  18
17.47  28
18.64  26
18.89  23
29.47  44
33.23  100
33.84  35
38.74  54
39.66  19
48.16  26



(6)
Diffraction record for Ba2Sr4Pd. The powder diffractogram is simulated, not measured: it uses a DFT-relaxed cell (PBE, Alexandria) and Cu Kα, 1.54184 Å.

Crystal structure
```
Ba2Sr4Pd
1.0
7.874 0.000 0.000
0.000 4.229 0.000
-3.067 0.000 10.829
Ba Sr Pd
2 4 1
Cartesian
0.425 0.000 5.349
4.382 0.000 5.479
-1.502 2.115 8.904
2.494 0.000 1.612
2.313 0.000 9.217
6.309 2.115 1.925
3.937 2.115 0.000
```

Top 10 peaks for 2θ = 10–90°, low angle first:
2θ (°)  I (rel.)
22.58  72
24.70  100
26.97  79
27.37  63
31.71  31
32.30  36
32.65  65
42.76  27
50.01  29
51.29  32



(7)
Diffraction record for NdSm6Th4. The powder diffractogram is simulated, not measured: it uses a DFT-relaxed cell (PBE, Alexandria) and Cu Kα, 1.54184 Å.

Crystal structure
```
NdSm6Th4
1.0
-1.744 2.983 17.993
1.744 -2.983 17.993
1.744 2.983 -17.993
Nd Sm Th
1 6 4
Cartesian
0.000 0.000 0.000
1.744 0.000 3.462
1.744 0.000 9.637
1.744 0.000 13.262
0.000 2.983 4.732
0.000 2.983 8.356
0.000 2.983 14.531
0.000 0.000 6.576
0.000 0.000 16.421
0.000 0.000 19.565
0.000 0.000 29.410
```

Top 10 peaks for 2θ = 10–90°, low angle first:
2θ (°)  I (rel.)
26.62  30
28.44  19
29.95  59
31.18  100
31.33  17
33.30  39
35.89  44
40.50  20
53.97  25
62.30  36



(8)
Diffraction record for ZrAl2Si3. The powder diffractogram is simulated, not measured: it uses a DFT-relaxed cell (PBE, Alexandria) and Cu Kα, 1.54184 Å.

Crystal structure
```
ZrAl2Si3
1.0
5.702 0.000 0.000
-2.851 4.938 0.000
0.000 0.000 6.896
Zr Al Si
2 4 6
Cartesian
0.000 3.292 2.674
2.851 1.646 4.222
0.000 0.000 0.000
-1.425 2.469 0.000
2.851 0.000 0.000
1.425 2.469 0.000
0.000 1.518 4.824
-1.537 4.179 4.824
1.314 0.759 2.072
1.537 4.179 4.824
4.388 0.759 2.072
2.851 3.420 2.072
```

Top 10 peaks for 2θ = 10–90°, low angle first:
2θ (°)  I (rel.)
12.84  19
22.14  32
31.38  16
31.65  37
34.03  22
38.74  100
39.19  19
43.42  19
45.17  54
65.48  21



(9)
Diffraction record for RbFeAgCl6. The powder diffractogram is simulated, not measured: it uses a DFT-relaxed cell (PBE, Alexandria) and Cu Kα, 1.54184 Å.

Crystal structure
```
RbFeAgCl6
1.0
3.535 -5.529 0.000
3.535 5.529 0.000
-0.579 0.000 7.123
Rb Fe Ag Cl
1 1 1 6
Cartesian
0.000 0.000 0.000
3.245 1.750 3.562
3.245 -2.093 3.562
1.074 1.729 4.768
2.316 3.120 1.995
4.174 3.120 5.128
2.552 -0.168 2.138
3.938 -0.168 4.985
5.416 1.729 2.356
```

Top 10 peaks for 2θ = 10–90°, low angle first:
2θ (°)  I (rel.)
12.43  100
18.78  95
20.10  82
20.33  94
27.31  57
30.54  41
34.32  52
38.08  93
45.81  42
58.04  31



(10)
Diffraction record for TmMg3Pb3. The powder diffractogram is simulated, not measured: it uses a DFT-relaxed cell (PBE, Alexandria) and Cu Kα, 1.54184 Å.

Crystal structure
```
TmMg3Pb3
1.0
4.160 2.402 6.829
-4.160 2.402 6.829
0.000 -4.804 6.829
Tm Mg Pb
2 6 6
Cartesian
0.000 0.000 3.440
0.000 0.000 17.046
-2.925 -0.036 7.834
-1.432 -2.551 12.652
1.494 -2.516 7.834
-1.494 2.516 12.652
1.432 2.551 7.834
2.925 0.036 12.652
-1.252 -2.228 8.916
-2.555 -0.030 11.570
-1.304 2.198 8.916
1.304 -2.198 11.570
2.555 0.030 8.916
1.252 2.228 11.570
```

Top 10 peaks for 2θ = 10–90°, low angle first:
2θ (°)  I (rel.)
12.97  39
25.07  100
33.97  76
37.44  60
39.78  18
45.42  23
45.59  17
51.44  20
58.44  15
65.34  18



(11)
Diffraction record for Tc4HgO8. The powder diffractogram is simulated, not measured: it uses a DFT-relaxed cell (PBE, Alexandria) and Cu Kα, 1.54184 Å.

Crystal structure
```
Tc4HgO8
1.0
-5.486 5.486 1.372
5.486 -5.486 1.372
5.486 5.486 -1.372
Tc Hg O
4 1 8
Cartesian
7.291 1.624 0.000
1.624 3.680 0.000
3.862 1.805 1.372
-1.805 3.862 1.372
0.000 0.000 0.000
3.709 0.315 0.000
3.657 3.310 0.000
2.176 -1.829 1.372
5.170 -1.777 1.372
0.315 7.263 0.000
3.310 7.314 0.000
1.829 2.176 1.372
1.777 5.170 1.372
```

Top 10 peaks for 2θ = 10–90°, low angle first:
2θ (°)  I (rel.)
22.93  24
25.68  100
36.63  20
37.55  45
41.12  18
44.45  14
47.59  21
49.87  19
56.23  26
64.06  16



(12)
Diffraction record for InSn3Te4. The powder diffractogram is simulated, not measured: it uses a DFT-relaxed cell (PBE, Alexandria) and Cu Kα, 1.54184 Å.

Crystal structure
```
InSn3Te4
1.0
8.902 0.000 0.000
0.000 10.503 0.000
0.000 0.000 6.409
In Sn Te
2 6 8
Cartesian
0.000 1.946 0.000
4.451 8.557 3.205
0.000 9.048 3.203
1.931 6.908 6.408
2.520 3.595 3.204
4.451 1.455 6.407
6.382 3.595 3.204
6.970 6.908 6.408
0.000 1.986 3.219
0.000 9.385 0.025
2.013 6.816 3.227
2.438 3.687 0.022
4.451 1.118 3.230
4.451 8.517 0.014
6.464 3.687 0.022
6.889 6.816 3.227
```

Top 10 peaks for 2θ = 10–90°, low angle first:
2θ (°)  I (rel.)
16.88  35
21.69  100
27.84  92
32.54  87
34.15  20
35.56  58
40.54  26
43.34  79
49.89  28
67.67  21



Copy entry 7 word for word.
Diffraction record for NdSm6Th4. The powder diffractogram is simulated, not measured: it uses a DFT-relaxed cell (PBE, Alexandria) and Cu Kα, 1.54184 Å.

Crystal structure
```
NdSm6Th4
1.0
-1.744 2.983 17.993
1.744 -2.983 17.993
1.744 2.983 -17.993
Nd Sm Th
1 6 4
Cartesian
0.000 0.000 0.000
1.744 0.000 3.462
1.744 0.000 9.637
1.744 0.000 13.262
0.000 2.983 4.732
0.000 2.983 8.356
0.000 2.983 14.531
0.000 0.000 6.576
0.000 0.000 16.421
0.000 0.000 19.565
0.000 0.000 29.410
```

Top 10 peaks for 2θ = 10–90°, low angle first:
2θ (°)  I (rel.)
26.62  30
28.44  19
29.95  59
31.18  100
31.33  17
33.30  39
35.89  44
40.50  20
53.97  25
62.30  36



Q: Number 11 is which compound?
A: Tc4HgO8